Calculated powder diffraction line list
Compound: Pu2InNi9
Radiation: copper Kα
Structure: a crystal structure in Alexandria, relaxed with GGA-PBE
Kinematic intensities with the Lorentz-polarization factor, no thermal factor.

Largest 12 diffraction maxima, sorted by position, 15° ≤ 2θ ≤ 90°:
2θ/deg	d (Å)	I_rel	hkl
25.6	3.478	26	1 0 4
33.2	2.695	70	1 0 7
36.2	2.479	49	0 1 8
36.8	2.440	70	1 1 0
43.0	2.105	42	0 2 1
43.2	2.094	100	1 1 6
45.4	1.998	23	0 2 4
46.1	1.970	30	0 1 11
46.8	1.940	20	2 0 5
64.1	1.453	22	2 1 7
70.7	1.332	22	3 0 6
78.4	1.220	24	2 2 0

Cell and atoms:
abc: 4.8805 4.8805 24.4888
angles: 90.00 90.00 120.00
Space group R-3m (No. 166, hexagonal axes)
Inequivalent atoms, fractional coordinates:
Pu (0.0000, 0.0000, 0.1397) [6 per cell]
In (0.0000, 0.0000, 0.0000) [3 per cell]
Ni (0.0000, 0.0000, 0.3329) [6 per cell]
Ni (0.0000, 0.0000, 0.5000) [3 per cell]
Ni (0.0006, 0.5003, 0.9178) [18 per cell]


Calculated powder diffraction line list
Compound: Ti2CuPd9
Radiation: copper Kα
Structure: a crystal structure in Alexandria, relaxed with GGA-PBE
Kinematic intensities with the Lorentz-polarization factor, no thermal factor.

Largest 12 diffraction maxima, sorted by position, 15° ≤ 2θ ≤ 90°:
2θ/deg	d (Å)	I_rel	hkl
22.6	3.929	4	1 0 0
22.8	3.900	2	0 0 3
32.3	2.768	4	1 0 3
39.8	2.263	100	1 1 3
46.2	1.965	32	2 0 0
46.6	1.950	16	0 0 6
52.1	1.756	2	2 0 3
67.4	1.389	10	2 2 0
67.7	1.384	20	2 0 6
81.3	1.184	24	3 1 3
81.8	1.178	11	1 1 9
85.9	1.131	10	2 2 6

Cell and atoms:
abc: 3.929 3.929 11.701
angles: 90.00 90.00 90.00
Space group P4/mmm (No. 123)
Inequivalent atoms, fractional coordinates:
Ti (0.000, 0.000, 0.174) [2 per cell]
Cu (0.000, 0.000, 0.500) [1 per cell]
Pd (0.000, 0.500, 0.000) [2 per cell]
Pd (0.000, 0.500, 0.331) [4 per cell]
Pd (0.500, 0.500, 0.165) [2 per cell]
Pd (0.500, 0.500, 0.500) [1 per cell]